No. 1
Starting from the GGA-PBE geometry in Alexandria, the powder diffractogram of LaSm4Y4 was simulated for Cu Kα (weighted mean of Kα1 and Kα2).
No peak broadening, texture or thermal motion is included.

Structural model:
Unit cell a=5.7956 b=9.7244 c=11.0049 alpha=79.28 beta=89.94 gamma=89.97
Sites, in units of the cell vectors:
La1 0.2492 0.1083 0.1498
La2 0.7508 0.8917 0.8502
Sm1 0.2501 0.1157 0.8111
Sm2 0.2499 0.4447 0.9260
Sm3 0.2500 0.7744 0.3727
Sm4 0.2505 0.7765 0.7024
Sm5 0.7495 0.2235 0.2976
Sm6 0.7500 0.2256 0.6273
Sm7 0.7501 0.5553 0.0740
Sm8 0.7499 0.8843 0.1889
Y1 0.2500 0.1120 0.4824
Y2 0.2501 0.4426 0.2603
Y3 0.2499 0.4448 0.5917
Y4 0.2502 0.7735 0.0386
Y5 0.7498 0.2265 0.9614
Y6 0.7501 0.5552 0.4083
Y7 0.7499 0.5574 0.7397
Y8 0.7500 0.8880 0.5176

Most intense lines, 2θ = 10–90°, by angle:
Position (°2θ)	I/Imax
28.1	29
30.9	30
32.1	21
32.1	100
42.2	19
49.7	16
55.7	25
59.5	13

No. 2
Starting from the GGA-PBE geometry in Alexandria, the powder diffractogram of K2Cu3Cl8 was simulated for Cu Kα (weighted mean of Kα1 and Kα2).
No peak broadening, texture or thermal motion is included.

Structural model:
Unit cell a=4.7161 b=4.7161 c=14.4366 alpha=90.00 beta=90.00 gamma=90.00
Sites, in units of the cell vectors:
K1 0.0000 0.0000 0.1863
K2 0.0000 0.0000 0.8137
Cu1 0.5000 0.5000 0.0000
Cu2 0.5000 0.5000 0.3388
Cu3 0.5000 0.5000 0.6612
Cl1 0.0000 0.5000 0.0000
Cl2 0.0000 0.5000 0.3512
Cl3 0.0000 0.5000 0.6488
Cl4 0.5000 0.0000 0.0000
Cl5 0.5000 0.0000 0.3512
Cl6 0.5000 0.0000 0.6488
Cl7 0.5000 0.5000 0.1670
Cl8 0.5000 0.5000 0.8330

Most intense lines, 2θ = 10–90°, by angle:
Position (°2θ)	I/Imax
18.4	74
18.8	76
26.5	74
37.4	44
38.2	100
42.7	31
54.5	53
55.1	31

No. 3
Starting from the GGA-PBE geometry in Alexandria, the powder diffractogram of K2Ag2SbSe4 was simulated for Cu Kα (weighted mean of Kα1 and Kα2).
No peak broadening, texture or thermal motion is included.

Structural model:
Unit cell a=8.2917 b=8.2917 c=7.9371 alpha=110.69 beta=110.69 gamma=29.16
Sites, in units of the cell vectors:
K1 0.1352 0.1352 0.0651
K2 0.8648 0.8648 0.9349
Ag1 0.3136 0.3136 0.5212
Ag2 0.6864 0.6864 0.4788
Sb1 0.0000 0.0000 0.5000
Se1 0.1923 0.1923 0.6968
Se2 0.4873 0.4873 0.7431
Se3 0.5127 0.5127 0.2569
Se4 0.8077 0.8077 0.3032

Most intense lines, 2θ = 10–90°, by angle:
Position (°2θ)	I/Imax
12.0	100
27.7	21
31.2	29
32.4	47
33.0	27
41.4	30
43.3	22
46.1	22

No. 4
Starting from the GGA-PBE geometry in Alexandria, the powder diffractogram of PuMgHO5 was simulated for Cu Kα (weighted mean of Kα1 and Kα2).
No peak broadening, texture or thermal motion is included.

Structural model:
Unit cell a=5.5154 b=5.5154 c=7.4511 alpha=102.37 beta=102.37 gamma=110.29
Sites, in units of the cell vectors:
Pu1 0.0000 0.5000 0.0000
Pu2 0.5000 0.0000 0.5000
Mg1 0.0869 0.9131 0.7500
Mg2 0.9131 0.0869 0.2500
H1 0.3345 0.6655 0.7500
H2 0.6655 0.3345 0.2500
O1 0.1388 0.8612 0.2500
O2 0.1807 0.3290 0.1351
O3 0.2965 0.6895 0.5898
O4 0.3105 0.7035 0.9102
O5 0.3290 0.1807 0.6351
O6 0.6710 0.8193 0.3649
O7 0.6895 0.2965 0.0898
O8 0.7035 0.3105 0.4102
O9 0.8193 0.6710 0.8649
O10 0.8612 0.1388 0.7500

Most intense lines, 2θ = 10–90°, by angle:
Position (°2θ)	I/Imax
18.6	100
19.6	48
25.3	67
25.8	18
31.8	19
32.6	34
33.7	22
37.7	17